# LiVFe4O8
Calculated X-ray powder pattern, copper Kα. Input: DFT lattice parameters and positions (GGA+U).
Kinematic intensities with the Lorentz-polarization factor, no thermal factor.

Crystal structure
Cell lengths 5.8915, 5.8915, 5.8452 Å; angles 119.43, 119.43, 60.07 degrees
Atoms (fractional coordinates):
Li (0.0000, 0.0000, 0.0000)
V (0.0000, 0.0000, 0.5000)
Fe (0.0000, 0.5000, 0.0000)
Fe (0.3834, 0.3834, 0.6272)
Fe (0.5000, 0.0000, 0.0000)
Fe (0.6166, 0.6166, 0.3728)
O (0.2225, 0.7450, 0.2416)
O (0.2488, 0.2488, 0.7661)
O (0.2513, 0.2513, 0.2281)
O (0.2550, 0.7775, 0.7584)
O (0.7450, 0.2225, 0.2416)
O (0.7487, 0.7487, 0.7719)
O (0.7512, 0.7512, 0.2339)
O (0.7775, 0.2550, 0.7584)

Largest 10 diffraction maxima, in order of rising 2θ, 2θ from 10° to 90°:
- d = 4.783 Å, 18.55 deg, intensity 457
- d = 2.946 Å, 30.34 deg, intensity 627
- d = 2.923 Å, 30.59 deg, intensity 362
- d = 2.531 Å, 35.47 deg, intensity 676
- d = 2.515 Å, 35.70 deg, intensity 1000
- d = 2.507 Å, 35.81 deg, intensity 567
- d = 2.496 Å, 35.99 deg, intensity 279
- d = 1.594 Å, 57.84 deg, intensity 296
- d = 1.480 Å, 62.80 deg, intensity 374
- d = 1.473 Å, 63.10 deg, intensity 538